Record 1
Diffraction record for Ac2ThGe2N6. The powder diffraction line list is simulated, not measured: it uses the GGA-PBE geometry in Alexandria and λ = 1.5418 Å (Cu Kα).
Lines closer than 0.1° are merged.

The 10 most intense peaks (10 to 90 degrees two-theta), sorted by position:
Position (°2θ)  I/Imax  hkl
17.7  27  1 0 1
25.6  20  1 0 4
29.5  97  0 1 5
29.7  100  1 1 0
42.3  40  2 0 5
52.1  17  1 0 10
52.6  41  1 2 5
52.7  22  3 0 0
61.7  18  2 2 0
69.8  17  3 1 5

Structural model:
```
data_Ac2ThGe2N6
_cell_length_a 6.0143
_cell_length_b 6.0143
_cell_length_c 18.6414
_cell_angle_alpha 90.00
_cell_angle_beta 90.00
_cell_angle_gamma 120.00
_space_group_name_H-M_alt 'R -3 m'
_space_group_IT_number 166
_space_group_name_Hall '-R 3 2"'
loop_
_atom_site_label
_atom_site_type_symbol
_atom_site_fract_x
_atom_site_fract_y
_atom_site_fract_z
_atom_site_occupancy
Ac1 Ac 0.0000 0.0000 0.2019 1
Th1 Th 0.0000 0.0000 0.0000 1
Ge1 Ge 0.0000 0.0000 0.4225 1
N1 N 0.0092 0.5046 0.7582 1
```

=====

Record 2
Diffraction record for CrBiPd14. The powder diffraction line list is simulated, not measured: it uses the GGA-PBE geometry in Alexandria and λ = 1.5418 Å (Cu Kα).
Lines closer than 0.1° are merged.

The 10 most intense peaks (10 to 90 degrees two-theta), sorted by position:
Position (°2θ)  I/Imax  hkl
19.3  4  1 0 1
27.6  3  1 0 2
39.2  100  2 0 2
45.2  33  2 2 0
46.2  16  0 0 4
65.8  10  4 0 0
66.6  20  2 2 4
79.3  25  4 2 2
80.8  12  2 0 6
84.2  11  4 0 4

Structural model:
```
data_CrBiPd14
_cell_length_a 5.675
_cell_length_b 5.675
_cell_length_c 7.857
_cell_angle_alpha 90.00
_cell_angle_beta 90.00
_cell_angle_gamma 90.00
_space_group_name_H-M_alt 'P 4/m m m'
_space_group_IT_number 123
_space_group_name_Hall '-P 4 2'
loop_
_atom_site_label
_atom_site_type_symbol
_atom_site_fract_x
_atom_site_fract_y
_atom_site_fract_z
_atom_site_occupancy
Cr1 Cr 0.000 0.000 0.000 1
Bi1 Bi 0.500 0.500 0.000 1
Pd1 Pd 0.000 0.000 0.500 1
Pd2 Pd 0.000 0.500 0.000 1
Pd3 Pd 0.000 0.500 0.500 1
Pd4 Pd 0.245 0.245 0.251 1
Pd5 Pd 0.500 0.500 0.500 1
```

=====

Record 3
Diffraction record for Tm6ZnIn5. The powder diffraction line list is simulated, not measured: it uses the GGA-PBE geometry in Alexandria and λ = 1.5418 Å (Cu Kα).
Lines closer than 0.1° are merged.

The 10 most intense peaks (10 to 90 degrees two-theta), sorted by position:
Position (°2θ)  I/Imax  hkl
34.3  51  2 0 -1
34.5  100  1 2 1
49.2  9  2 0 2
49.3  9  2 0 -4
49.9  9  0 4 0
61.5  27  3 2 0
61.5  9  3 2 -3
61.9  18  2 4 -1
82.4  6  4 0 1
83.5  8  1 6 1

Structural model:
```
data_Tm6ZnIn5
_cell_length_a 5.234
_cell_length_b 7.313
_cell_length_c 8.273
_cell_angle_alpha 90.00
_cell_angle_beta 108.30
_cell_angle_gamma 90.00
_space_group_name_H-M_alt 'P 1 2/m 1'
_space_group_IT_number 10
_space_group_name_Hall '-P 2y'
loop_
_atom_site_label
_atom_site_type_symbol
_atom_site_fract_x
_atom_site_fract_y
_atom_site_fract_z
_atom_site_occupancy
Tm1 Tm 0.000 0.243 0.000 1
Tm2 Tm 0.338 0.245 0.675 1
Zn1 Zn 0.500 0.000 0.000 1
In1 In 0.166 0.000 0.333 1
In2 In 0.168 0.500 0.337 1
In3 In 0.500 0.500 0.000 1
```

=====

Record 4
Diffraction record for MgTi5O10. The powder diffraction line list is simulated, not measured: it uses the GGA-PBE geometry in Alexandria and λ = 1.5418 Å (Cu Kα).
Lines closer than 0.1° are merged.

The 10 most intense peaks (10 to 90 degrees two-theta), sorted by position:
Position (°2θ)  I/Imax  hkl
17.6  20  0 2 0
18.0  35  1 0 -1
25.1  100  1 0 1
32.2  67  1 3 -1
36.2  17  1 0 -3
40.8  17  2 2 -2
45.7  20  2 3 -2
47.8  34  1 0 3
58.9  18  2 3 2
59.7  19  2 3 -4

Structural model:
```
data_MgTi5O10
_cell_length_a 5.266
_cell_length_b 10.093
_cell_length_c 7.537
_cell_angle_alpha 90.00
_cell_angle_beta 109.66
_cell_angle_gamma 90.00
_space_group_name_H-M_alt 'P 1 21/m 1'
_space_group_IT_number 11
_space_group_name_Hall '-P 2yb'
loop_
_atom_site_label
_atom_site_type_symbol
_atom_site_fract_x
_atom_site_fract_y
_atom_site_fract_z
_atom_site_occupancy
Mg1 Mg 0.039 0.250 0.153 1
Ti1 Ti 0.048 0.062 0.821 1
Ti2 Ti 0.454 0.564 0.683 1
Ti3 Ti 0.456 0.750 0.346 1
O1 O 0.096 0.750 0.144 1
O2 O 0.184 0.612 0.772 1
O3 O 0.218 0.068 0.095 1
O4 O 0.284 0.569 0.405 1
O5 O 0.325 0.119 0.726 1
O6 O 0.417 0.250 0.372 1
```